(1)
Structure and computed X-ray diffraction stick pattern of NaTl6 (DFT lattice parameters and positions (GGA-PBE); λ = 1.5418 Å (Cu Kα)).

Atomic structure:
Unit cell a=6.495 b=6.495 c=10.813 alpha=90.00 beta=90.00 gamma=90.00
Space group P4/nbm (No. 125, origin choice 2)
Asymmetric unit:
Na1 0.250 0.750 0.000 [2 per cell]
Tl1 0.073 0.573 0.361 [8 per cell]
Tl2 0.250 0.250 0.144 [4 per cell]

Most intense lines, 15 to 90 degrees two-theta, in order of rising 2θ:
21.0°, intensity 59, (1 1 1); 28.7°, intensity 92, (2 0 1); 31.6°, intensity 58, (1 1 3); 31.9°, intensity 78, (2 1 1); 33.1°, intensity 54, (0 0 4); 35.1°, intensity 100, (2 1 2); 37.3°, intensity 80, (2 0 3); 39.2°, intensity 31, (2 2 0); 44.1°, intensity 45, (3 1 0); 56.2°, intensity 41, (3 1 4)

(2)
Structure and computed X-ray diffraction stick pattern of Ho3Ni13B2 (DFT lattice parameters and positions (GGA-PBE); λ = 1.5418 Å (Cu Kα)).

Atomic structure:
Unit cell a=4.9363 b=4.9363 c=10.9006 alpha=90.00 beta=90.00 gamma=120.00
Space group P6/mmm (No. 191)
Asymmetric unit:
Ho1 0.0000 0.0000 0.0000 [1 per cell]
Ho2 0.0000 0.0000 0.3291 [2 per cell]
Ni1 0.0000 0.5000 0.1332 [6 per cell]
Ni2 0.0000 0.5000 0.5000 [3 per cell]
Ni3 0.3333 0.6667 0.3192 [4 per cell]
B1 0.3333 0.6667 0.0000 [2 per cell]

Most intense lines, 15 to 90 degrees two-theta, in order of rising 2θ:
32.3°, intensity 78, (1 0 3); 36.4°, intensity 33, (1 1 0); 42.3°, intensity 59, (2 0 0); 44.4°, intensity 100, (1 1 3); 50.2°, intensity 14, (0 0 6); 63.0°, intensity 23, (2 1 3); 63.6°, intensity 15, (1 1 6); 67.7°, intensity 15, (2 0 6); 71.1°, intensity 23, (3 0 3); 77.3°, intensity 19, (2 2 0)

(3)
Structure and computed X-ray diffraction stick pattern of La6Sm2YTm (DFT lattice parameters and positions (GGA-PBE); λ = 1.5418 Å (Cu Kα)).

Atomic structure:
Unit cell a=9.863 b=15.334 c=9.292 alpha=90.00 beta=91.29 gamma=90.00
Space group C2/c (No. 15)
Asymmetric unit:
La1 0.075 0.143 0.098 [8 per cell]
La2 0.075 0.351 0.911 [8 per cell]
La3 0.244 0.281 0.320 [8 per cell]
Sm1 0.248 0.455 0.563 [8 per cell]
Y1 0.000 0.073 0.750 [4 per cell]
Tm1 0.000 0.437 0.250 [4 per cell]

Most intense lines, 15 to 90 degrees two-theta, in order of rising 2θ:
27.3°, intensity 20, (1 3 -2); 27.6°, intensity 35, (1 3 2); 28.6°, intensity 29, (2 2 -2); 29.2°, intensity 67, (2 2 2); 29.6°, intensity 70, (2 4 0); 31.0°, intensity 40, (2 4 -1); 31.2°, intensity 100, (0 2 3); 32.0°, intensity 32, (1 5 -1); 33.6°, intensity 24, (3 1 -2); 36.5°, intensity 27, (4 0 0)

(4)
Structure and computed X-ray diffraction stick pattern of NpSnSe4 (DFT lattice parameters and positions (GGA-PBE); λ = 1.5418 Å (Cu Kα)).

Atomic structure:
Unit cell a=9.341 b=10.372 c=8.468 alpha=90.00 beta=90.00 gamma=90.00
Space group Cmcm (No. 63)
Asymmetric unit:
Np1 0.000 0.025 0.250 [4 per cell]
Sn1 0.000 0.354 0.750 [4 per cell]
Se1 0.000 0.178 0.523 [8 per cell]
Se2 0.209 0.489 0.250 [8 per cell]

Most intense lines, 15 to 90 degrees two-theta, in order of rising 2θ:
17.1°, intensity 47, (0 2 0); 19.0°, intensity 84, (2 0 0); 21.0°, intensity 61, (0 0 2); 27.2°, intensity 100, (0 2 2); 27.8°, intensity 35, (2 2 1); 30.0°, intensity 45, (3 1 0); 34.9°, intensity 99, (1 3 2); 38.6°, intensity 36, (4 0 0); 44.6°, intensity 90, (3 3 2); 53.0°, intensity 41, (0 6 0)

(5)
Structure and computed X-ray diffraction stick pattern of HfZrNb2N4 (DFT lattice parameters and positions (GGA-PBE); λ = 1.5418 Å (Cu Kα)).

Atomic structure:
Unit cell a=5.516 b=3.208 c=5.517 alpha=90.00 beta=109.56 gamma=90.00
Space group P2/m (No. 10)
Asymmetric unit:
Hf1 0.000 0.000 0.000 [1 per cell]
Zr1 0.000 0.500 0.500 [1 per cell]
Nb1 0.500 0.000 0.500 [1 per cell]
Nb2 0.500 0.500 0.000 [1 per cell]
N1 0.244 0.500 0.241 [2 per cell]
N2 0.249 0.000 0.755 [2 per cell]

Most intense lines, 15 to 90 degrees two-theta, in order of rising 2θ:
17.1°, intensity 20, (0 0 1); 34.3°, intensity 96, (1 1 -1); 34.5°, intensity 94, (2 0 0); 39.9°, intensity 100, (1 1 1); 40.0°, intensity 50, (2 0 -2); 57.5°, intensity 16, (0 2 0); 57.8°, intensity 64, (3 1 -1); 68.8°, intensity 27, (2 2 0); 69.1°, intensity 39, (3 1 1); 72.3°, intensity 16, (2 2 -2)

(6)
Structure and computed X-ray diffraction stick pattern of RbCu2P2S7 (DFT lattice parameters and positions (GGA-PBE); λ = 1.5418 Å (Cu Kα)).

Atomic structure:
Unit cell a=6.1742 b=6.1742 c=32.8920 alpha=90.00 beta=90.00 gamma=120.00
Space group R32 (No. 155, hexagonal axes)
Asymmetric unit:
Rb1 0.0000 0.0000 0.0000 [3 per cell]
Cu1 0.0000 0.0000 0.2438 [6 per cell]
P1 0.0000 0.0000 0.4340 [6 per cell]
S1 0.0000 0.0000 0.5000 [3 per cell]
S2 0.0063 0.3594 0.2499 [18 per cell]

Most intense lines, 15 to 90 degrees two-theta, in order of rising 2θ:
16.2°, intensity 77, (0 0 6); 19.8°, intensity 100, (1 0 4); 27.4°, intensity 25, (0 1 8); 28.9°, intensity 56, (1 1 0); 32.7°, intensity 36, (0 0 12); 33.3°, intensity 28, (1 1 6); 35.3°, intensity 34, (0 2 4); 46.3°, intensity 25, (2 1 4); 51.3°, intensity 33, (3 0 0); 62.1°, intensity 28, (3 0 12)

(7)
Structure and computed X-ray diffraction stick pattern of InGa2As3 (DFT lattice parameters and positions (GGA-PBE); λ = 1.5418 Å (Cu Kα)).

Atomic structure:
Unit cell a=7.211 b=12.508 c=7.203 alpha=90.00 beta=109.32 gamma=90.00
Space group Cc (No. 9)
Asymmetric unit:
In1 0.000 0.086 0.000 [4 per cell]
Ga1 0.000 0.417 0.999 [4 per cell]
Ga2 0.001 0.254 0.500 [4 per cell]
As1 0.109 0.418 0.367 [4 per cell]
As2 0.132 0.260 0.869 [4 per cell]
As3 0.136 0.092 0.389 [4 per cell]

Most intense lines, 15 to 90 degrees two-theta, in order of rising 2θ:
26.2°, intensity 100, (0 0 2); 43.5°, intensity 74, (1 3 -3); 51.4°, intensity 29, (3 3 1); 51.5°, intensity 15, (4 0 -2); 63.1°, intensity 8, (2 6 2); 69.5°, intensity 4, (4 0 2); 69.6°, intensity 10, (2 0 4); 79.7°, intensity 15, (1 3 5); 79.8°, intensity 6, (6 0 -2); 85.6°, intensity 6, (2 6 4)

(8)
Structure and computed X-ray diffraction stick pattern of Pr4In3Ni (DFT lattice parameters and positions (GGA-PBE); λ = 1.5418 Å (Cu Kα)).

Atomic structure:
Unit cell a=3.644 b=3.644 c=16.720 alpha=90.00 beta=90.00 gamma=90.00
Space group P4/mmm (No. 123)
Asymmetric unit:
Pr1 0.000 0.000 0.101 [2 per cell]
Pr2 0.000 0.000 0.367 [2 per cell]
In1 0.500 0.500 0.235 [2 per cell]
In2 0.500 0.500 0.500 [1 per cell]
Ni1 0.500 0.500 0.000 [1 per cell]

Most intense lines, 15 to 90 degrees two-theta, in order of rising 2θ:
29.3°, intensity 10, (1 0 3); 32.6°, intensity 100, (1 0 4); 34.8°, intensity 49, (1 1 0); 50.1°, intensity 17, (2 0 0); 52.2°, intensity 9, (1 1 7); 56.7°, intensity 13, (1 1 8); 61.0°, intensity 33, (2 1 4); 66.7°, intensity 9, (1 0 11); 84.0°, intensity 8, (3 1 0); 87.8°, intensity 8, (2 1 11)